[1]
The following is a calculated powder diffraction line list of K2SbF4. It was derived from a GGA-PBE-relaxed structure, using Cu Kα X-rays.
No peak broadening, texture or thermal motion is included.

Principal peaks in the range 10 to 90 degrees two-theta, sorted by position:
Position (°2θ)	intensity
13.52	89
19.43	70
25.84	100
27.42	93
36.87	73
39.03	49
39.44	25
46.56	43
54.77	34
56.59	26

Lattice parameters (Å, degrees): 7.402 7.402 7.402 141.54 141.54 55.52
Positions (direct):
K  0.137  0.137  0.000
K  0.863  0.863  0.000
Sb  0.500  0.500  0.000
F  0.000  0.500  0.500
F  0.330  0.330  0.000
F  0.500  0.000  0.500
F  0.670  0.670  0.000

[2]
The following is a calculated powder diffraction line list of KSbF6. It was derived from a GGA-PBE-relaxed structure, using Cu Kα X-rays.
No peak broadening, texture or thermal motion is included.

Principal peaks in the range 10 to 90 degrees two-theta, sorted by position:
Position (°2θ)	intensity
16.69	63
17.71	27
23.69	69
24.43	100
42.11	51
43.43	19
48.48	16
50.07	16
57.91	16
67.11	15

Lattice parameters (Å, degrees): 5.311 5.311 10.017 90.00 90.00 90.00
Positions (direct):
K  0.000  0.000  0.250
K  0.000  0.000  0.750
Sb  0.500  0.500  0.000
Sb  0.500  0.500  0.500
F  0.244  0.244  0.000
F  0.244  0.756  0.500
F  0.318  0.318  0.365
F  0.318  0.318  0.635
F  0.318  0.682  0.135
F  0.318  0.682  0.865
F  0.682  0.318  0.135
F  0.682  0.318  0.865
F  0.682  0.682  0.365
F  0.682  0.682  0.635
F  0.756  0.244  0.500
F  0.756  0.756  0.000

[3]
The following is a calculated powder diffraction line list of KSb2F7. It was derived from a GGA-PBE-relaxed structure, using Cu Kα X-rays.
No peak broadening, texture or thermal motion is included.

Principal peaks in the range 10 to 90 degrees two-theta, sorted by position:
Position (°2θ)	intensity
16.26	32
20.02	68
23.30	48
23.42	100
26.12	55
26.85	100
27.18	95
41.55	40
43.14	65
49.22	30

Lattice parameters (Å, degrees): 11.195 7.635 8.733 90.00 103.16 90.00
Positions (direct):
K  0.068  0.172  0.330
K  0.068  0.328  0.830
K  0.932  0.672  0.170
K  0.932  0.828  0.670
Sb  0.238  0.696  0.499
Sb  0.238  0.804  0.999
Sb  0.390  0.194  0.670
Sb  0.390  0.306  0.170
Sb  0.610  0.694  0.830
Sb  0.610  0.806  0.330
Sb  0.762  0.196  0.001
Sb  0.762  0.304  0.501
F  0.088  0.650  0.963
F  0.088  0.850  0.463
F  0.121  0.516  0.387
F  0.121  0.984  0.887
F  0.188  0.634  0.696
F  0.188  0.866  0.196
F  0.212  0.217  0.639
F  0.212  0.283  0.139
F  0.349  0.574  0.188
F  0.349  0.926  0.688
F  0.369  0.140  0.442
F  0.369  0.360  0.942
F  0.373  0.043  0.086
F  0.373  0.457  0.586
F  0.627  0.543  0.414
F  0.627  0.957  0.914
F  0.631  0.640  0.058
F  0.631  0.860  0.558
F  0.651  0.074  0.312
F  0.651  0.426  0.812
F  0.788  0.717  0.861
F  0.788  0.783  0.361
F  0.812  0.134  0.804
F  0.812  0.366  0.304
F  0.879  0.016  0.113
F  0.879  0.484  0.613
F  0.912  0.150  0.537
F  0.912  0.350  0.037

[4]
The following is a calculated powder diffraction line list of K3SbF7. It was derived from a GGA-PBE-relaxed structure, using Cu Kα X-rays.
No peak broadening, texture or thermal motion is included.

Principal peaks in the range 10 to 90 degrees two-theta, sorted by position:
Position (°2θ)	intensity
15.44	38
16.31	72
16.93	48
24.96	41
26.33	100
26.59	48
29.67	19
41.77	33
42.54	41
44.60	34

Lattice parameters (Å, degrees): 6.031 6.031 6.973 114.12 114.12 88.07
Positions (direct):
K  0.000  0.000  0.000
K  0.257  0.729  0.477
K  0.729  0.257  0.477
Sb  0.542  0.542  0.011
F  0.193  0.529  0.761
F  0.357  0.357  0.115
F  0.408  0.838  0.213
F  0.529  0.193  0.761
F  0.634  0.634  0.783
F  0.838  0.408  0.213
F  0.854  0.854  0.244

[5]
The following is a calculated powder diffraction line list of K6SbF12. It was derived from a GGA-PBE-relaxed structure, using Cu Kα X-rays.
No peak broadening, texture or thermal motion is included.

Principal peaks in the range 10 to 90 degrees two-theta, sorted by position:
Position (°2θ)	intensity
12.09	27
15.36	19
18.75	29
19.59	37
24.86	26
24.99	100
28.89	16
41.24	37
41.40	33
48.91	38

Lattice parameters (Å, degrees): 7.564 7.564 7.564 99.43 99.43 99.43
Positions (direct):
K  0.098  0.654  0.828
K  0.172  0.902  0.346
K  0.346  0.172  0.902
K  0.654  0.828  0.098
K  0.828  0.098  0.654
K  0.902  0.346  0.172
Sb  0.500  0.500  0.500
F  0.075  0.334  0.901
F  0.099  0.925  0.666
F  0.247  0.514  0.434
F  0.334  0.901  0.075
F  0.434  0.247  0.514
F  0.486  0.566  0.753
F  0.514  0.434  0.247
F  0.566  0.753  0.486
F  0.666  0.099  0.925
F  0.753  0.486  0.566
F  0.901  0.075  0.334
F  0.925  0.666  0.099